Diffraction record for La2PuAs3. The X-ray diffraction stick pattern is calculated, not measured: it uses a cell relaxed with GGA-PBE and Cu Kα (weighted mean of Kα1 and Kα2).
No peak broadening, texture or thermal motion is included.

Crystal structure
Cell: 4.307 4.307 18.245 Å, 90.00 90.00 90.00°
Atoms (fractional coordinates):
1 La 0.000 0.000 0.167
2 La 0.000 0.000 0.833
3 La 0.500 0.500 0.333
4 La 0.500 0.500 0.667
5 Pu 0.000 0.000 0.500
6 Pu 0.500 0.500 0.000
7 As 0.000 0.000 0.000
8 As 0.000 0.000 0.337
9 As 0.000 0.000 0.663
10 As 0.500 0.500 0.163
11 As 0.500 0.500 0.500
12 As 0.500 0.500 0.837

The 10 most intense peaks (10° ≤ 2θ ≤ 80°), by angle:
d_spacing	intensity
4.192	5.0
3.515	26.1
3.044	100.0
2.152	75.8
1.836	13.5
1.757	27.0
1.523	8.5
1.397	5.7
1.361	34.7
1.243	25.8

=====

Diffraction record for Ac4Ga2Co. The X-ray diffraction stick pattern is calculated, not measured: it uses a cell relaxed with GGA-PBE and Cu Kα (weighted mean of Kα1 and Kα2).
No peak broadening, texture or thermal motion is included.

Crystal structure
Cell: 5.409 5.409 16.223 Å, 90.00 90.00 90.00°
Atoms (fractional coordinates):
1 Ac 0.000 0.000 0.182
2 Ac 0.000 0.000 0.818
3 Ac 0.000 0.500 0.000
4 Ac 0.000 0.500 0.500
5 Ac 0.500 0.000 0.000
6 Ac 0.500 0.000 0.500
7 Ac 0.500 0.500 0.318
8 Ac 0.500 0.500 0.682
9 Ga 0.000 0.000 0.373
10 Ga 0.000 0.000 0.627
11 Ga 0.500 0.500 0.127
12 Ga 0.500 0.500 0.873
13 Co 0.000 0.000 0.000
14 Co 0.500 0.500 0.500

The 10 most intense peaks (10° ≤ 2θ ≤ 80°), by angle:
d_spacing	intensity
3.825	24.5
3.460	100.0
2.783	80.8
2.704	94.0
1.939	25.6
1.912	60.7
1.674	27.2
1.576	23.4
1.561	18.2
1.209	22.9

=====

Diffraction record for Na8B9C7. The X-ray diffraction stick pattern is calculated, not measured: it uses a cell relaxed with GGA-PBE and Cu Kα (weighted mean of Kα1 and Kα2).
No peak broadening, texture or thermal motion is included.

Crystal structure
Cell: 8.925 8.925 5.668 Å, 99.14 99.14 32.15°
Atoms (fractional coordinates):
1 Na 0.125 0.125 0.063
2 Na 0.129 0.124 0.563
3 Na 0.376 0.373 0.187
4 Na 0.376 0.373 0.687
5 Na 0.627 0.624 0.313
6 Na 0.627 0.624 0.813
7 Na 0.875 0.875 0.937
8 Na 0.876 0.871 0.437
9 B 0.084 0.416 0.375
10 B 0.084 0.416 0.875
11 B 0.158 0.842 0.261
12 B 0.158 0.842 0.739
13 B 0.341 0.659 0.000
14 B 0.584 0.916 0.125
15 B 0.584 0.916 0.625
16 B 0.665 0.335 0.500
17 B 0.682 0.318 0.000
18 C 0.336 0.664 0.500
19 C 0.418 0.082 0.375
20 C 0.418 0.082 0.875
21 C 0.836 0.164 0.255
22 C 0.836 0.164 0.745
23 C 0.918 0.582 0.125
24 C 0.918 0.582 0.625

The 10 most intense peaks (10° ≤ 2θ ≤ 80°), by angle:
d_spacing	intensity
2.471	9.0
2.458	17.1
2.134	49.8
2.125	100.0
2.114	38.6
1.603	9.6
1.424	17.3
1.417	8.5
1.224	6.2
1.223	12.5

=====

Diffraction record for NdSmHo5Th2. The X-ray diffraction stick pattern is calculated, not measured: it uses a cell relaxed with GGA-PBE and Cu Kα (weighted mean of Kα1 and Kα2).
No peak broadening, texture or thermal motion is included.

Crystal structure
Cell: 9.863 9.863 9.863 Å, 126.52 126.52 79.04°
Atoms (fractional coordinates):
1 Nd 0.250 0.250 0.000
2 Nd 0.750 0.750 0.000
3 Sm 0.250 0.750 0.500
4 Sm 0.750 0.250 0.500
5 Ho 0.000 0.000 0.000
6 Ho 0.070 0.570 0.914
7 Ho 0.156 0.070 0.500
8 Ho 0.344 0.844 0.914
9 Ho 0.430 0.344 0.500
10 Ho 0.500 0.500 0.000
11 Ho 0.570 0.656 0.500
12 Ho 0.656 0.156 0.086
13 Ho 0.844 0.930 0.500
14 Ho 0.930 0.430 0.086
15 Th 0.118 0.382 0.500
16 Th 0.382 0.882 0.263
17 Th 0.618 0.118 0.737
18 Th 0.882 0.618 0.500

The 10 most intense peaks (10° ≤ 2θ ≤ 80°), by angle:
d_spacing	intensity
3.138	52.1
3.126	77.2
2.888	100.0
2.807	20.7
2.633	18.2
2.430	29.7
2.415	21.4
2.131	29.2
1.760	21.4
1.452	19.5